# 1
Diffraction record for Nd11Dy4Y9. The powder X-ray diffraction pattern is calculated, not measured: it uses the GGA-PBE geometry in Alexandria and Cu Ka.

Structural model:
```
data_Nd11Dy4Y9
_chemical_formula_sum 'Nd22 Dy8 Y18'
_space_group_name_H-M_alt 'C m m m'
_space_group_IT_number 65
_space_group_name_Hall '-C 2 2'
_cell_length_a 17.0705
_cell_length_b 25.8393
_cell_length_c 3.6839
_cell_angle_alpha 90.00
_cell_angle_beta 90.00
_cell_angle_gamma 90.00
loop_
_atom_site_label
_atom_site_type_symbol
_atom_site_fract_x
_atom_site_fract_y
_atom_site_fract_z
_atom_site_occupancy
Nd1 Nd 0.0000 0.0000 0.0000 1
Nd2 Nd 0.0000 0.1601 0.0000 1
Nd3 Nd 0.0000 0.3685 0.0000 1
Nd4 Nd 0.2069 0.5000 0.0000 1
Nd5 Nd 0.2252 0.1811 0.0000 1
Dy1 Dy 0.1567 0.3984 0.5000 1
Y1 Y 0.0000 0.5000 0.5000 1
Y2 Y 0.1020 0.2671 0.5000 1
Y3 Y 0.1411 0.0729 0.5000 1
```

Principal peaks in the range 10° ≤ 2θ ≤ 80°, low angle first:
29.47 deg, rel. 94.8
29.82 deg, rel. 36.0
30.72 deg, rel. 37.7
31.97 deg, rel. 99.7
32.10 deg, rel. 100.0
58.66 deg, rel. 30.4

***

# 2
Diffraction record for Zr. The powder X-ray diffraction pattern is calculated, not measured: it uses the GGA-PBE geometry in Alexandria and Cu Ka.

Structural model:
```
data_Zr
_chemical_formula_sum 'Zr16'
_space_group_name_H-M_alt 'I 4/m m m'
_space_group_IT_number 139
_space_group_name_Hall '-I 4 2'
_cell_length_a 9.5589
_cell_length_b 9.5589
_cell_length_c 4.3724
_cell_angle_alpha 90.00
_cell_angle_beta 90.00
_cell_angle_gamma 90.00
loop_
_atom_site_label
_atom_site_type_symbol
_atom_site_fract_x
_atom_site_fract_y
_atom_site_fract_z
_atom_site_occupancy
Zr1 Zr 0.0000 0.3315 0.0000 1
Zr2 Zr 0.1698 0.1698 0.5000 1
```

Principal peaks in the range 10° ≤ 2θ ≤ 80°, low angle first:
34.84 deg, rel. 100.0
40.02 deg, rel. 33.7
41.30 deg, rel. 15.4
58.86 deg, rel. 21.0
69.36 deg, rel. 25.0
71.13 deg, rel. 11.8

***

# 3
Diffraction record for Tb14CeHo. The powder X-ray diffraction pattern is calculated, not measured: it uses the GGA-PBE geometry in Alexandria and Cu Ka.

Structural model:
```
data_Tb14CeHo
_chemical_formula_sum 'Tb14 Ce1 Ho1'
_space_group_name_H-M_alt 'P 4/m m m'
_space_group_IT_number 123
_space_group_name_Hall '-P 4 2'
_cell_length_a 7.1163
_cell_length_b 7.1163
_cell_length_c 10.0567
_cell_angle_alpha 90.00
_cell_angle_beta 90.00
_cell_angle_gamma 90.00
loop_
_atom_site_label
_atom_site_type_symbol
_atom_site_fract_x
_atom_site_fract_y
_atom_site_fract_z
_atom_site_occupancy
Tb1 Tb 0.0000 0.0000 0.0000 1
Tb2 Tb 0.0000 0.5000 0.0000 1
Tb3 Tb 0.0000 0.5000 0.5000 1
Tb4 Tb 0.2490 0.2490 0.2509 1
Tb5 Tb 0.5000 0.5000 0.0000 1
Ce1 Ce 0.0000 0.0000 0.5000 1
Ho1 Ho 0.5000 0.5000 0.5000 1
```

Principal peaks in the range 10° ≤ 2θ ≤ 80°, low angle first:
30.78 deg, rel. 100.0
35.69 deg, rel. 50.6
51.37 deg, rel. 36.0
61.09 deg, rel. 42.8
64.12 deg, rel. 12.3
75.61 deg, rel. 5.7

***

# 4
Diffraction record for PrGdAu. The powder X-ray diffraction pattern is calculated, not measured: it uses the GGA-PBE geometry in Alexandria and Cu Ka.

Structural model:
```
data_PrGdAu
_chemical_formula_sum 'Pr1 Gd1 Au1'
_space_group_name_H-M_alt 'P 3 m 1'
_space_group_IT_number 156
_space_group_name_Hall 'P 3 -2"'
_cell_length_a 4.9764
_cell_length_b 4.9764
_cell_length_c 3.9353
_cell_angle_alpha 90.00
_cell_angle_beta 90.00
_cell_angle_gamma 120.00
loop_
_atom_site_label
_atom_site_type_symbol
_atom_site_fract_x
_atom_site_fract_y
_atom_site_fract_z
_atom_site_occupancy
Pr1 Pr 0.0000 0.0000 0.0000 1
Gd1 Gd 0.6667 0.3333 0.5507 1
Au1 Au 0.3333 0.6667 0.3247 1
```

Principal peaks in the range 10° ≤ 2θ ≤ 80°, low angle first:
30.77 deg, rel. 100.0
36.10 deg, rel. 71.4
48.14 deg, rel. 29.2
51.02 deg, rel. 24.5
61.62 deg, rel. 27.9
75.81 deg, rel. 21.0